1.
GaBPbO4: computed X-ray diffraction stick pattern (CuKα), based on the GGA-PBE geometry in the Materials Project.
Neutral-atom scattering factors, no anomalous dispersion.

Cell and atoms:
```
data_GaBPbO4
_chemical_formula_sum 'Ga4 B4 Pb4 O16'
_cell_length_a 7.1203
_cell_length_b 5.9879
_cell_length_c 8.3961
_cell_angle_alpha 90.00
_cell_angle_beta 90.00
_cell_angle_gamma 90.00
_space_group_name_H-M_alt 'P n m a'
_space_group_IT_number 62
loop_
_space_group_symop_operation_xyz
'x,y,z'
'-x,-y,-z'
'-x+1/2,-y,z+1/2'
'x+1/2,y,-z+1/2'
'x+1/2,-y+1/2,-z+1/2'
'-x+1/2,y+1/2,z+1/2'
'-x,y+1/2,-z'
'x,-y+1/2,z'
loop_
_atom_site_label
_atom_site_type_symbol
_atom_site_fract_x
_atom_site_fract_y
_atom_site_fract_z
Ga1 Ga 0.0000 0.0000 0.0000
B1 B 0.2223 0.2500 0.2642
Pb1 Pb 0.0639 0.7500 0.3571
O1 O 0.1005 0.2500 0.8870
O2 O 0.1715 0.0485 0.1933
O3 O 0.1794 0.7500 0.9070
```

The 10 most intense peaks (2θ from 15° to 90°), by angle:
2θ (°), I_rel
18.20, 91
25.01, 36
27.21, 29
28.84, 100
29.18, 26
31.11, 46
34.20, 65
34.43, 48
43.82, 25
52.86, 30

---

2.
TlInP2S6: computed X-ray diffraction stick pattern (CuKα), based on the GGA-PBE geometry in the Materials Project.
Neutral-atom scattering factors, no anomalous dispersion.

Cell and atoms:
```
data_TlInP2S6
_chemical_formula_sum 'Tl2 In2 P4 S12'
_cell_length_a 6.7052
_cell_length_b 9.3010
_cell_length_c 8.9845
_cell_angle_alpha 90.00
_cell_angle_beta 90.08
_cell_angle_gamma 90.00
_space_group_name_H-M_alt 'P 1 21 1'
_space_group_IT_number 4
loop_
_space_group_symop_operation_xyz
'x,y,z'
'-x,y+1/2,-z'
loop_
_atom_site_label
_atom_site_type_symbol
_atom_site_fract_x
_atom_site_fract_y
_atom_site_fract_z
Tl1 Tl 0.2063 0.0000 0.4959
In1 In 0.2997 0.6349 0.0191
P1 P 0.2039 0.3043 0.8527
P2 P 0.3127 0.4928 0.7093
S1 S 0.0703 0.7429 0.2280
S2 S 0.1221 0.6607 0.7664
S3 S 0.2067 0.3681 0.0696
S4 S 0.3042 0.4299 0.4984
S5 S 0.3977 0.1378 0.8060
S6 S 0.4236 0.0342 0.1906
```

The 10 most intense peaks (2θ from 15° to 90°), by angle:
2θ (°), I_rel
19.08, 100
21.52, 41
26.59, 15
31.80, 19
33.35, 23
34.18, 27
34.46, 17
34.76, 17
37.72, 21
40.09, 19

---

What did the second record say?
TlInP2S6: computed X-ray diffraction stick pattern (CuKα), based on the GGA-PBE geometry in the Materials Project.
Neutral-atom scattering factors, no anomalous dispersion.

Cell and atoms:
```
data_TlInP2S6
_chemical_formula_sum 'Tl2 In2 P4 S12'
_cell_length_a 6.7052
_cell_length_b 9.3010
_cell_length_c 8.9845
_cell_angle_alpha 90.00
_cell_angle_beta 90.08
_cell_angle_gamma 90.00
_space_group_name_H-M_alt 'P 1 21 1'
_space_group_IT_number 4
loop_
_space_group_symop_operation_xyz
'x,y,z'
'-x,y+1/2,-z'
loop_
_atom_site_label
_atom_site_type_symbol
_atom_site_fract_x
_atom_site_fract_y
_atom_site_fract_z
Tl1 Tl 0.2063 0.0000 0.4959
In1 In 0.2997 0.6349 0.0191
P1 P 0.2039 0.3043 0.8527
P2 P 0.3127 0.4928 0.7093
S1 S 0.0703 0.7429 0.2280
S2 S 0.1221 0.6607 0.7664
S3 S 0.2067 0.3681 0.0696
S4 S 0.3042 0.4299 0.4984
S5 S 0.3977 0.1378 0.8060
S6 S 0.4236 0.0342 0.1906
```

The 10 most intense peaks (2θ from 15° to 90°), by angle:
2θ (°), I_rel
19.08, 100
21.52, 41
26.59, 15
31.80, 19
33.35, 23
34.18, 27
34.46, 17
34.76, 17
37.72, 21
40.09, 19

---

What is the formula in the first record?
GaBPbO4